# 1
Starting from a structure optimized by DFT (GGA-PBE), the powder X-ray diffraction pattern of HoBi2O6 was simulated for Cu Kα, 1.54184 Å.
Peak positions follow from Bragg's law for the DFT cell and can differ from measured ones.

Crystal structure
```
HoBi2O6
1.0
8.240 0.000 0.000
0.000 6.075 0.000
0.000 0.000 5.608
Ho Bi O
2 4 12
direct
0.000 0.161 0.000
0.500 0.839 0.500
0.248 0.731 0.975
0.252 0.269 0.475
0.748 0.269 0.475
0.752 0.731 0.975
0.000 0.279 0.621
0.000 0.804 0.875
0.181 0.419 0.135
0.192 0.983 0.244
0.308 0.017 0.744
0.319 0.581 0.635
0.500 0.196 0.375
0.500 0.721 0.121
0.681 0.581 0.635
0.692 0.017 0.744
0.808 0.983 0.244
0.819 0.419 0.135
```

Top 6 peaks for 10° ≤ 2θ ≤ 90°, sorted by position:
| d (Å) | intensity |
| --- | --- |
| 4.120 | 52 |
| 2.913 | 100 |
| 2.804 | 23 |
| 2.060 | 31 |
| 1.843 | 22 |
| 1.639 | 22 |

---

# 2
Starting from a structure optimized by DFT (GGA-PBE), the powder X-ray diffraction pattern of Y5Si3H was simulated for Cu Kα, 1.54184 Å.
Peak positions follow from Bragg's law for the DFT cell and can differ from measured ones.

Crystal structure
```
Y5Si3H
1.0
8.475 0.000 0.000
-4.237 7.339 0.000
0.000 0.000 6.248
Y Si H
10 6 2
direct
0.000 0.250 0.250
0.000 0.750 0.750
0.250 0.000 0.250
0.250 0.250 0.750
0.333 0.667 0.000
0.333 0.667 0.500
0.667 0.333 0.000
0.667 0.333 0.500
0.750 0.000 0.750
0.750 0.750 0.250
0.000 0.389 0.750
0.000 0.611 0.250
0.389 0.000 0.750
0.389 0.389 0.250
0.611 0.000 0.250
0.611 0.611 0.750
0.000 0.000 0.000
0.000 0.000 0.500
```

Top 6 peaks for 10° ≤ 2θ ≤ 90°, sorted by position:
| d (Å) | intensity |
| --- | --- |
| 3.507 | 34 |
| 2.874 | 40 |
| 2.774 | 45 |
| 2.535 | 98 |
| 2.515 | 100 |
| 2.446 | 52 |

---

# 3
Starting from a structure optimized by DFT (GGA-PBE), the powder X-ray diffraction pattern of NaSmTl2 was simulated for Cu Kα, 1.54184 Å.
Peak positions follow from Bragg's law for the DFT cell and can differ from measured ones.

Crystal structure
```
NaSmTl2
1.0
0.000 3.832 3.832
3.832 0.000 3.832
3.832 3.832 0.000
Na Sm Tl
1 1 2
direct
0.000 0.000 0.000
0.500 0.500 0.500
0.250 0.250 0.250
0.750 0.750 0.750
```

Top 6 peaks for 10° ≤ 2θ ≤ 90°, sorted by position:
| d (Å) | intensity |
| --- | --- |
| 3.832 | 18 |
| 2.710 | 100 |
| 1.916 | 18 |
| 1.565 | 39 |
| 1.355 | 12 |
| 1.212 | 17 |

---

# 4
Starting from a structure optimized by DFT (GGA-PBE), the powder X-ray diffraction pattern of SrNd4Si3O13 was simulated for Cu Kα, 1.54184 Å.
Peak positions follow from Bragg's law for the DFT cell and can differ from measured ones.

Crystal structure
```
SrNd4Si3O13
1.0
9.679 0.000 0.000
-4.839 8.382 0.000
0.000 0.000 7.162
Sr Nd Si O
2 8 6 26
direct
0.333 0.667 0.000
0.667 0.333 0.500
0.009 0.242 0.751
0.233 0.991 0.751
0.242 0.233 0.251
0.333 0.667 0.500
0.667 0.333 0.000
0.758 0.767 0.751
0.767 0.009 0.251
0.991 0.758 0.251
0.029 0.398 0.250
0.369 0.971 0.250
0.398 0.369 0.750
0.602 0.631 0.250
0.631 0.029 0.750
0.971 0.602 0.750
0.000 0.000 0.254
0.000 0.000 0.754
0.090 0.341 0.435
0.091 0.338 0.070
0.121 0.594 0.260
0.166 0.685 0.741
0.247 0.909 0.070
0.251 0.910 0.435
0.315 0.481 0.741
0.338 0.247 0.570
0.341 0.251 0.935
0.406 0.527 0.260
0.473 0.879 0.260
0.481 0.166 0.241
0.519 0.834 0.741
0.527 0.121 0.760
0.594 0.473 0.760
0.659 0.749 0.435
0.662 0.753 0.070
0.685 0.519 0.241
0.749 0.090 0.935
0.753 0.091 0.570
0.834 0.315 0.241
0.879 0.406 0.760
0.909 0.662 0.570
0.910 0.659 0.935
```

Top 6 peaks for 10° ≤ 2θ ≤ 90°, sorted by position:
| d (Å) | intensity |
| --- | --- |
| 3.293 | 36 |
| 3.168 | 33 |
| 2.897 | 100 |
| 2.879 | 50 |
| 1.907 | 34 |
| 1.809 | 29 |

---

# 5
Starting from a structure optimized by DFT (GGA-PBE), the powder X-ray diffraction pattern of Rb2NaCrC6N6 was simulated for Cu Kα, 1.54184 Å.
Peak positions follow from Bragg's law for the DFT cell and can differ from measured ones.

Crystal structure
```
Rb2NaCrC6N6
1.0
7.441 0.000 0.000
0.000 7.931 0.000
-7.324 0.000 10.839
Rb Na Cr C N
4 2 2 12 12
direct
0.225 0.072 0.248
0.225 0.428 0.748
0.775 0.572 0.252
0.775 0.928 0.752
0.000 0.000 0.500
0.000 0.500 0.000
0.500 0.000 0.000
0.500 0.500 0.500
0.241 0.141 0.965
0.241 0.359 0.465
0.319 0.715 0.456
0.319 0.785 0.956
0.398 0.022 0.820
0.398 0.478 0.320
0.602 0.522 0.680
0.602 0.978 0.180
0.681 0.215 0.044
0.681 0.285 0.544
0.759 0.641 0.535
0.759 0.859 0.035
0.092 0.223 0.944
0.092 0.277 0.444
0.211 0.664 0.930
0.211 0.836 0.430
0.336 0.037 0.716
0.336 0.463 0.216
0.664 0.537 0.784
0.664 0.963 0.284
0.789 0.164 0.570
0.789 0.336 0.070
0.908 0.723 0.556
0.908 0.777 0.056
```

Top 6 peaks for 10° ≤ 2θ ≤ 90°, sorted by position:
| d (Å) | intensity |
| --- | --- |
| 3.966 | 37 |
| 3.850 | 100 |
| 3.820 | 98 |
| 3.722 | 66 |
| 2.712 | 88 |
| 2.178 | 46 |

---

# 6
Starting from a structure optimized by DFT (GGA-PBE), the powder X-ray diffraction pattern of Zn2SnO4 was simulated for Cu Kα, 1.54184 Å.
Peak positions follow from Bragg's law for the DFT cell and can differ from measured ones.

Crystal structure
```
Zn2SnO4
1.0
-3.049 3.165 4.397
3.049 -3.165 4.397
3.049 3.165 -4.397
Zn Sn O
4 2 8
direct
0.000 0.000 0.500
0.000 0.500 0.000
0.392 0.142 0.250
0.608 0.858 0.750
0.000 0.500 0.500
0.500 0.500 0.000
0.217 0.735 0.483
0.248 0.265 0.983
0.249 0.266 0.517
0.249 0.732 0.983
0.751 0.268 0.017
0.751 0.734 0.483
0.752 0.735 0.017
0.783 0.265 0.517
```

Top 6 peaks for 10° ≤ 2θ ≤ 90°, sorted by position:
| d (Å) | intensity |
| --- | --- |
| 5.011 | 59 |
| 2.676 | 100 |
| 2.642 | 56 |
| 2.622 | 53 |
| 2.197 | 53 |
| 1.554 | 65 |

---

# 7
Starting from a structure optimized by DFT (GGA-PBE), the powder X-ray diffraction pattern of Ba2La2MgTi3O12 was simulated for Cu Kα, 1.54184 Å.
Peak positions follow from Bragg's law for the DFT cell and can differ from measured ones.

Crystal structure
```
Ba2La2MgTi3O12
1.0
5.661 0.000 0.000
2.821 4.913 0.000
0.025 0.046 27.589
Ba La Mg Ti O
6 6 3 9 36
direct
0.000 0.001 0.373
0.000 0.999 0.627
0.333 0.334 0.289
0.334 0.333 0.542
0.666 0.667 0.458
0.667 0.666 0.711
0.005 0.002 0.876
0.330 0.336 0.794
0.333 0.333 0.041
0.667 0.667 0.959
0.670 0.664 0.206
0.995 0.998 0.124
0.000 0.000 0.000
0.335 0.335 0.164
0.665 0.665 0.836
0.000 0.000 0.500
0.007 0.999 0.756
0.331 0.331 0.670
0.332 0.334 0.415
0.336 0.333 0.918
0.664 0.667 0.082
0.668 0.666 0.585
0.669 0.669 0.330
0.993 0.001 0.244
0.003 0.499 0.373
0.029 0.547 0.113
0.096 0.201 0.199
0.158 0.176 0.710
0.162 0.168 0.457
0.167 0.667 0.458
0.170 0.659 0.958
0.170 0.685 0.203
0.171 0.657 0.714
0.257 0.128 0.968
0.302 0.782 0.053
0.334 0.888 0.791
0.335 0.836 0.542
0.353 0.831 0.284
0.409 0.536 0.867
0.498 0.000 0.373
0.499 0.501 0.627
0.500 0.008 0.878
0.500 0.992 0.122
0.501 0.499 0.373
0.502 0.000 0.627
0.591 0.464 0.133
0.647 0.169 0.716
0.665 0.164 0.458
0.666 0.112 0.209
0.698 0.218 0.947
0.743 0.872 0.032
0.829 0.343 0.286
0.830 0.315 0.797
0.830 0.341 0.042
0.833 0.333 0.542
0.838 0.832 0.543
0.842 0.824 0.290
0.904 0.799 0.801
0.971 0.453 0.887
0.997 0.501 0.627
```

Top 6 peaks for 10° ≤ 2θ ≤ 90°, sorted by position:
| d (Å) | intensity |
| --- | --- |
| 3.999 | 52 |
| 2.833 | 100 |
| 2.822 | 98 |
| 2.312 | 41 |
| 2.001 | 44 |
| 1.633 | 40 |

---

# 8
Starting from a structure optimized by DFT (GGA-PBE), the powder X-ray diffraction pattern of Eu2SiO5 was simulated for Cu Kα, 1.54184 Å.
Peak positions follow from Bragg's law for the DFT cell and can differ from measured ones.

Crystal structure
```
Eu2SiO5
1.0
10.654 0.000 0.000
0.000 3.746 0.000
0.000 0.000 10.980
Eu Si O
8 4 20
direct
0.095 0.250 0.211
0.135 0.250 0.558
0.365 0.750 0.058
0.405 0.750 0.711
0.595 0.250 0.289
0.635 0.250 0.942
0.865 0.750 0.442
0.905 0.750 0.789
0.182 0.250 0.874
0.318 0.750 0.374
0.682 0.250 0.626
0.818 0.750 0.126
0.009 0.750 0.603
0.032 0.250 0.844
0.216 0.750 0.877
0.224 0.250 0.022
0.231 0.750 0.244
0.269 0.250 0.744
0.276 0.750 0.522
0.284 0.250 0.377
0.468 0.750 0.344
0.491 0.250 0.103
0.509 0.750 0.897
0.532 0.250 0.656
0.716 0.750 0.623
0.724 0.250 0.478
0.731 0.750 0.256
0.769 0.250 0.756
0.776 0.750 0.978
0.784 0.250 0.123
0.968 0.750 0.156
0.991 0.250 0.397
```

Top 6 peaks for 10° ≤ 2θ ≤ 90°, sorted by position:
| d (Å) | intensity |
| --- | --- |
| 7.646 | 24 |
| 3.462 | 32 |
| 3.064 | 100 |
| 3.017 | 68 |
| 2.618 | 32 |
| 1.867 | 37 |

---

# 9
Starting from a structure optimized by DFT (GGA-PBE), the powder X-ray diffraction pattern of NaCeS2 was simulated for Cu Kα, 1.54184 Å.
Peak positions follow from Bragg's law for the DFT cell and can differ from measured ones.

Crystal structure
```
NaCeS2
1.0
2.071 1.196 6.682
-2.071 1.196 6.682
0.000 -2.391 6.682
Na Ce S
1 1 2
direct
0.000 0.000 0.000
0.500 0.500 0.500
0.244 0.244 0.244
0.756 0.756 0.756
```

Top 6 peaks for 10° ≤ 2θ ≤ 90°, sorted by position:
| d (Å) | intensity |
| --- | --- |
| 6.682 | 68 |
| 3.531 | 39 |
| 3.377 | 25 |
| 2.917 | 100 |
| 2.071 | 36 |
| 2.054 | 35 |

---

Repeat the fourth record exactly.
Starting from a structure optimized by DFT (GGA-PBE), the powder X-ray diffraction pattern of SrNd4Si3O13 was simulated for Cu Kα, 1.54184 Å.
Peak positions follow from Bragg's law for the DFT cell and can differ from measured ones.

Crystal structure
```
SrNd4Si3O13
1.0
9.679 0.000 0.000
-4.839 8.382 0.000
0.000 0.000 7.162
Sr Nd Si O
2 8 6 26
direct
0.333 0.667 0.000
0.667 0.333 0.500
0.009 0.242 0.751
0.233 0.991 0.751
0.242 0.233 0.251
0.333 0.667 0.500
0.667 0.333 0.000
0.758 0.767 0.751
0.767 0.009 0.251
0.991 0.758 0.251
0.029 0.398 0.250
0.369 0.971 0.250
0.398 0.369 0.750
0.602 0.631 0.250
0.631 0.029 0.750
0.971 0.602 0.750
0.000 0.000 0.254
0.000 0.000 0.754
0.090 0.341 0.435
0.091 0.338 0.070
0.121 0.594 0.260
0.166 0.685 0.741
0.247 0.909 0.070
0.251 0.910 0.435
0.315 0.481 0.741
0.338 0.247 0.570
0.341 0.251 0.935
0.406 0.527 0.260
0.473 0.879 0.260
0.481 0.166 0.241
0.519 0.834 0.741
0.527 0.121 0.760
0.594 0.473 0.760
0.659 0.749 0.435
0.662 0.753 0.070
0.685 0.519 0.241
0.749 0.090 0.935
0.753 0.091 0.570
0.834 0.315 0.241
0.879 0.406 0.760
0.909 0.662 0.570
0.910 0.659 0.935
```

Top 6 peaks for 10° ≤ 2θ ≤ 90°, sorted by position:
| d (Å) | intensity |
| --- | --- |
| 3.293 | 36 |
| 3.168 | 33 |
| 2.897 | 100 |
| 2.879 | 50 |
| 1.907 | 34 |
| 1.809 | 29 |